1.
For Nb14SnSb, a DFT-relaxed cell (GGA-PBE, Alexandria) gives the computed PXRD pattern in this record (a wavelength of 1.5418 Å).

Cell and atoms:
a b c (Å): 6.9337 9.2419 9.2929
angles (deg): 90.00 90.00 90.00
Space group Cmmm (No. 65)
Asymmetric unit:
Nb (0.0000, 0.0000, 0.0000)
Nb (0.0000, 0.2502, 0.2558)
Nb (0.0000, 0.5000, 0.0000)
Nb (0.2485, 0.0000, 0.2405)
Nb (0.2500, 0.2500, 0.0000)
Nb (0.2500, 0.2500, 0.5000)
Sn (0.0000, 0.5000, 0.5000)
Sb (0.0000, 0.0000, 0.5000)

Principal peaks in the range 2θ = 5–70°, sorted by position:
(2 2 2), 2θ = 37.8°, rel. 100; (0 0 4), 2θ = 38.8°, rel. 23; (0 4 0), 2θ = 39.0°, rel. 23; (4 0 0), 2θ = 52.8°, rel. 9; (0 4 4), 2θ = 56.1°, rel. 16; (4 4 0), 2θ = 67.6°, rel. 9; (2 2 6), 2θ = 69.5°, rel. 15; (2 6 2), 2θ = 69.8°, rel. 16


2.
For PuRhSe2, a DFT-relaxed cell (GGA-PBE, Alexandria) gives the computed PXRD pattern in this record (a wavelength of 1.5418 Å).

Cell and atoms:
a b c (Å): 3.7175 3.7175 25.1687
angles (deg): 90.00 90.00 120.00
Space group R-3m (No. 166, hexagonal axes)
Asymmetric unit:
Pu (0.0000, 0.0000, 0.0000)
Rh (0.0000, 0.0000, 0.5000)
Se (0.0000, 0.0000, 0.1147)

Principal peaks in the range 2θ = 5–70°, sorted by position:
(0 0 6), 2θ = 21.2°, rel. 41; (1 0 1), 2θ = 27.9°, rel. 50; (0 1 2), 2θ = 28.6°, rel. 100; (1 0 4), 2θ = 31.2°, rel. 21; (0 1 8), 2θ = 40.1°, rel. 72; (1 0 10), 2θ = 45.8°, rel. 41; (1 1 0), 2θ = 49.0°, rel. 44; (1 1 6), 2θ = 54.0°, rel. 21


3.
For PmH4PtRh2, a DFT-relaxed cell (GGA-PBE, Alexandria) gives the computed PXRD pattern in this record (a wavelength of 1.5418 Å).

Cell and atoms:
a b c (Å): 4.2947 4.2947 9.3096
angles (deg): 90.00 90.00 90.00
Space group I-4 (No. 82)
Asymmetric unit:
Pm (0.0000, 0.0000, 0.0000)
H (0.1787, 0.8120, 0.3478)
Pt (0.0000, 0.5000, 0.7500)
Rh (0.0000, 0.0000, 0.5000)
Rh (0.0000, 0.5000, 0.2500)

Principal peaks in the range 2θ = 5–70°, sorted by position:
(1 0 1), 2θ = 22.8°, rel. 8; (1 1 2), 2θ = 35.3°, rel. 100; (1 0 3), 2θ = 35.7°, rel. 3; (0 0 4), 2θ = 38.7°, rel. 19; (2 0 0), 2θ = 42.1°, rel. 30; (2 0 4), 2θ = 58.5°, rel. 23; (2 2 0), 2θ = 61.0°, rel. 10; (1 1 6), 2θ = 67.8°, rel. 15


4.
For Mn5TcOs, a DFT-relaxed cell (GGA-PBE, Alexandria) gives the computed PXRD pattern in this record (a wavelength of 1.5418 Å).

Cell and atoms:
a b c (Å): 7.6096 4.5755 9.8821
angles (deg): 90.00 90.00 90.00
Space group Pnma (No. 62)
Asymmetric unit:
Mn (0.0446, 0.2500, 0.0806)
Mn (0.0760, 0.5074, 0.3119)
Mn (0.0866, 0.7500, 0.5198)
Mn (0.1926, 0.7500, 0.7365)
Tc (0.1288, 0.2500, 0.8501)
Os (0.2442, 0.2500, 0.5682)

Principal peaks in the range 2θ = 5–70°, sorted by position:
(0 1 3), 2θ = 33.5°, rel. 35; (1 0 4), 2θ = 38.3°, rel. 60; (0 2 0), 2θ = 39.4°, rel. 39; (3 0 2), 2θ = 40.0°, rel. 35; (2 1 3), 2θ = 41.3°, rel. 90; (3 1 1), 2θ = 41.7°, rel. 100; (2 2 1), 2θ = 47.3°, rel. 30; (1 2 4), 2θ = 56.1°, rel. 29


Question: Number 4 is which compound?
Answer: Mn5TcOs


Question: What is the formula in the second record?
Answer: PuRhSe2